Diffraction record for CeY5Sb4. The powder X-ray diffraction pattern is calculated, not measured: it uses a DFT-relaxed cell (PBE, Alexandria) and Cu Kα.

Structural model:
a b c (Å): 18.738 4.348 8.470
angles (deg): 90.00 105.59 90.00
Space group C2/m (No. 12)
Symmetry-distinct sites (fractional):
1 Ce 0.000 0.000 0.000 (multiplicity 2)
2 Y 0.000 0.000 0.500 (multiplicity 2)
3 Y 0.161 0.500 0.826 (multiplicity 4)
4 Y 0.178 0.500 0.350 (multiplicity 4)
5 Sb 0.009 0.500 0.262 (multiplicity 4)
6 Sb 0.172 0.000 0.091 (multiplicity 4)

Principal peaks in the range 10° ≤ 2θ ≤ 90°, sorted by position:
d = 8.159 Å, 10.84 deg, rel. 19; d = 3.032 Å, 29.46 deg, rel. 100; d = 3.008 Å, 29.70 deg, rel. 46; d = 2.478 Å, 36.25 deg, rel. 14; d = 2.172 Å, 41.59 deg, rel. 57; d = 2.115 Å, 42.75 deg, rel. 18; d = 2.102 Å, 43.02 deg, rel. 32; d = 1.762 Å, 51.89 deg, rel. 19; d = 1.516 Å, 61.12 deg, rel. 12; d = 1.371 Å, 68.41 deg, rel. 17